Record 1
Diffraction record for Nd6GaFe13. The powder diffraction line list is simulated, not measured: it uses a DFT-relaxed cell (PBE, Alexandria) and Cu Kα (λ = 1.5418 Å).

The 8 most intense peaks (10° ≤ 2θ ≤ 90°), low angle first:
| 2θ (°) | Rel. int. |
| --- | --- |
| 27.4 | 70 |
| 31.6 | 100 |
| 35.4 | 74 |
| 38.4 | 58 |
| 38.8 | 30 |
| 43.3 | 37 |
| 46.9 | 37 |
| 67.8 | 30 |

Atomic structure:
```
Nd6GaFe13
1.0
-4.0118 4.0118 11.5527
4.0118 -4.0118 11.5527
4.0118 4.0118 -11.5527
Nd Ga Fe
12 2 26
direct
0.0220 0.5220 0.1692
0.1073 0.1073 0.0000
0.1472 0.9780 0.5000
0.3528 0.8528 0.8308
0.3927 0.3927 0.0000
0.4780 0.6472 0.5000
0.5220 0.3528 0.5000
0.6073 0.6073 0.0000
0.6472 0.1472 0.1692
0.8528 0.0220 0.5000
0.8927 0.8927 0.0000
0.9780 0.4780 0.8308
0.2500 0.2500 0.0000
0.7500 0.7500 0.0000
0.0000 0.5000 0.5000
0.0178 0.2921 0.5000
0.0662 0.2096 0.2759
0.1197 0.6197 0.8583
0.2079 0.4822 0.5000
0.2096 0.9338 0.1434
0.2386 0.7386 0.8583
0.2614 0.1197 0.5000
0.2904 0.4338 0.7241
0.2921 0.7921 0.2744
0.3803 0.2386 0.5000
0.4338 0.7096 0.1434
0.4822 0.9822 0.2744
0.5000 0.0000 0.5000
0.5178 0.0178 0.7256
0.5662 0.2904 0.8566
0.6197 0.7614 0.5000
0.7079 0.2079 0.7256
0.7096 0.5662 0.2759
0.7386 0.8803 0.5000
0.7614 0.2614 0.1417
0.7904 0.0662 0.8566
0.7921 0.5178 0.5000
0.8803 0.3803 0.1417
0.9338 0.7904 0.7241
0.9822 0.7079 0.5000
```


Record 2
Diffraction record for Ga5Fe2Ni12. The powder diffraction line list is simulated, not measured: it uses a DFT-relaxed cell (PBE, Alexandria) and Cu Kα (λ = 1.5418 Å).

The 8 most intense peaks (10° ≤ 2θ ≤ 90°), low angle first:
| 2θ (°) | Rel. int. |
| --- | --- |
| 42.4 | 23 |
| 43.5 | 80 |
| 44.0 | 100 |
| 48.9 | 29 |
| 51.8 | 22 |
| 52.1 | 27 |
| 74.3 | 12 |
| 87.5 | 12 |

Atomic structure:
```
Ga5Fe2Ni12
1.0
5.8357 -3.5083 0.0000
5.8357 3.5083 0.0000
-0.2425 0.0000 5.6323
Ga Fe Ni
5 2 12
direct
0.0000 0.0000 0.0000
0.2458 0.2458 0.0289
0.3421 0.3421 0.5737
0.6579 0.6579 0.4263
0.7542 0.7542 0.9711
0.2266 0.7734 0.5000
0.7734 0.2266 0.5000
0.0356 0.5750 0.2979
0.1397 0.1397 0.3857
0.1752 0.6200 0.8980
0.3800 0.8248 0.1020
0.4250 0.9644 0.7021
0.4538 0.4538 0.2214
0.5462 0.5462 0.7786
0.5750 0.0356 0.2979
0.6200 0.1752 0.8980
0.8248 0.3800 0.1020
0.8603 0.8603 0.6143
0.9644 0.4250 0.7021
```


Record 3
Diffraction record for GaFeNi. The powder diffraction line list is simulated, not measured: it uses a DFT-relaxed cell (PBE, Alexandria) and Cu Kα (λ = 1.5418 Å).

The 8 most intense peaks (10° ≤ 2θ ≤ 90°), low angle first:
| 2θ (°) | Rel. int. |
| --- | --- |
| 42.3 | 52 |
| 42.6 | 100 |
| 43.7 | 47 |
| 49.1 | 33 |
| 50.2 | 60 |
| 71.9 | 19 |
| 73.9 | 18 |
| 87.4 | 11 |

Atomic structure:
```
GaFeNi
1.0
2.2886 -3.8758 0.0000
2.2886 3.8758 0.0000
-1.5856 0.0000 4.1428
Ga Fe Ni
2 2 2
direct
0.0000 0.0000 0.0000
0.6629 0.3371 0.0000
0.1749 0.8251 0.5000
0.8384 0.1616 0.5000
0.3299 0.6701 0.0000
0.5023 0.4977 0.5000
```


Record 4
Diffraction record for GaFe2Ni5. The powder diffraction line list is simulated, not measured: it uses a DFT-relaxed cell (PBE, Alexandria) and Cu Kα (λ = 1.5418 Å).

The 8 most intense peaks (10° ≤ 2θ ≤ 90°), low angle first:
| 2θ (°) | Rel. int. |
| --- | --- |
| 30.8 | 1 |
| 43.7 | 100 |
| 44.1 | 98 |
| 50.7 | 63 |
| 51.9 | 29 |
| 73.9 | 9 |
| 75.1 | 9 |
| 75.5 | 35 |

Atomic structure:
```
GaFe2Ni5
1.0
0.0000 3.5225 5.1280
2.5291 0.0000 5.1280
2.5291 3.5225 0.0000
Ga Fe Ni
1 2 5
direct
0.0000 0.0000 0.0000
0.2550 0.2550 0.7450
0.7450 0.7450 0.2550
0.1265 0.1265 0.3735
0.3735 0.3735 0.1265
0.5000 0.5000 0.5000
0.6265 0.6265 0.8735
0.8735 0.8735 0.6265
```


Record 5
Diffraction record for GaFeNi5. The powder diffraction line list is simulated, not measured: it uses a DFT-relaxed cell (PBE, Alexandria) and Cu Kα (λ = 1.5418 Å).

The 8 most intense peaks (10° ≤ 2θ ≤ 90°), low angle first:
| 2θ (°) | Rel. int. |
| --- | --- |
| 41.2 | 64 |
| 44.5 | 56 |
| 45.1 | 61 |
| 45.3 | 64 |
| 45.5 | 70 |
| 46.3 | 100 |
| 48.3 | 89 |
| 49.0 | 45 |

Atomic structure:
```
GaFeNi5
1.0
4.1872 -2.2992 0.0000
4.1872 2.2992 0.0000
-1.5107 0.0000 8.7634
Ga Fe Ni
2 2 10
direct
0.2113 0.7887 0.7500
0.7887 0.2113 0.2500
0.5000 0.5000 0.0000
0.5000 0.5000 0.5000
0.1340 0.1682 0.5371
0.1682 0.1340 0.0371
0.2305 0.2978 0.8095
0.2801 0.7199 0.2500
0.2978 0.2305 0.3095
0.7022 0.7695 0.6905
0.7199 0.2801 0.7500
0.7695 0.7022 0.1905
0.8318 0.8660 0.9629
0.8660 0.8318 0.4629
```


Record 6
Diffraction record for GaFe2Ni7. The powder diffraction line list is simulated, not measured: it uses a DFT-relaxed cell (PBE, Alexandria) and Cu Kα (λ = 1.5418 Å).

The 8 most intense peaks (10° ≤ 2θ ≤ 90°), low angle first:
| 2θ (°) | Rel. int. |
| --- | --- |
| 15.8 | 34 |
| 23.2 | 44 |
| 28.2 | 52 |
| 41.6 | 42 |
| 47.1 | 100 |
| 47.4 | 43 |
| 49.8 | 59 |
| 64.9 | 21 |

Atomic structure:
```
GaFe2Ni7
1.0
3.1719 -5.9632 0.0000
3.1719 5.9632 0.0000
0.0000 0.0000 3.8337
Ga Fe Ni
1 2 7
direct
0.0000 0.0000 0.0000
0.2972 0.7028 0.5000
0.7028 0.2972 0.5000
0.0817 0.2904 0.5000
0.1968 0.8032 0.0000
0.2904 0.0817 0.5000
0.5000 0.5000 0.5000
0.7096 0.9183 0.5000
0.8032 0.1968 0.0000
0.9183 0.7096 0.5000
```


Copy entry 5 word for word.
Diffraction record for GaFeNi5. The powder diffraction line list is simulated, not measured: it uses a DFT-relaxed cell (PBE, Alexandria) and Cu Kα (λ = 1.5418 Å).

The 8 most intense peaks (10° ≤ 2θ ≤ 90°), low angle first:
| 2θ (°) | Rel. int. |
| --- | --- |
| 41.2 | 64 |
| 44.5 | 56 |
| 45.1 | 61 |
| 45.3 | 64 |
| 45.5 | 70 |
| 46.3 | 100 |
| 48.3 | 89 |
| 49.0 | 45 |

Atomic structure:
```
GaFeNi5
1.0
4.1872 -2.2992 0.0000
4.1872 2.2992 0.0000
-1.5107 0.0000 8.7634
Ga Fe Ni
2 2 10
direct
0.2113 0.7887 0.7500
0.7887 0.2113 0.2500
0.5000 0.5000 0.0000
0.5000 0.5000 0.5000
0.1340 0.1682 0.5371
0.1682 0.1340 0.0371
0.2305 0.2978 0.8095
0.2801 0.7199 0.2500
0.2978 0.2305 0.3095
0.7022 0.7695 0.6905
0.7199 0.2801 0.7500
0.7695 0.7022 0.1905
0.8318 0.8660 0.9629
0.8660 0.8318 0.4629
```